[1]
The following is a theoretical XRD peak list of Na3Dy3VS8. It was derived from a DFT-relaxed cell (GGA-PBE, Alexandria), using Cu Kα (weighted mean of Kα1 and Kα2).
No peak broadening, texture or thermal motion is included.

Atomic structure:
a = 8.1056 Å, b = 8.1056 Å, c = 8.1056 Å
α = 57.01°, β = 57.01°, γ = 57.01°
Atoms (fractional coordinates):
Na 0.0000 0.5000 0.5000
Na 0.5000 0.0000 0.5000
Na 0.5000 0.5000 0.0000
Dy 0.0000 0.0000 0.5000
Dy 0.0000 0.5000 0.0000
Dy 0.5000 0.0000 0.0000
V 0.5000 0.5000 0.5000
S 0.2431 0.2431 0.2431
S 0.2680 0.7204 0.7204
S 0.2796 0.2796 0.7320
S 0.2796 0.7320 0.2796
S 0.7204 0.2680 0.7204
S 0.7204 0.7204 0.2680
S 0.7320 0.2796 0.2796
S 0.7569 0.7569 0.7569

Largest 12 diffraction maxima, low angle first, 2θ = 10–90°:
2θ/deg	I_rel
13.09	100
26.98	39
28.05	22
32.02	95
34.72	14
41.18	22
44.82	33
46.98	31
48.98	21
57.98	15
74.54	12
77.73	12


[2]
The following is a theoretical XRD peak list of NaDy4ThSe8. It was derived from a DFT-relaxed cell (GGA-PBE, Alexandria), using Cu Kα (weighted mean of Kα1 and Kα2).
No peak broadening, texture or thermal motion is included.

Atomic structure:
a = 8.5370 Å, b = 8.5370 Å, c = 8.5370 Å
α = 59.26°, β = 59.26°, γ = 59.26°
Atoms (fractional coordinates):
Na 0.0000 0.0000 0.0000
Dy 0.3672 0.3672 0.8843
Dy 0.3672 0.8843 0.3672
Dy 0.7434 0.7434 0.7434
Dy 0.8843 0.3672 0.3672
Th 0.3683 0.3683 0.3683
Se 0.1288 0.1288 0.5945
Se 0.1288 0.5945 0.1288
Se 0.1323 0.1323 0.1323
Se 0.1431 0.6175 0.6174
Se 0.5945 0.1288 0.1288
Se 0.6121 0.6121 0.6121
Se 0.6175 0.1431 0.6175
Se 0.6175 0.6175 0.1431

Largest 12 diffraction maxima, low angle first, 2θ = 10–90°:
2θ/deg	I_rel
12.82	52
24.42	31
24.62	63
24.72	17
29.77	100
39.00	30
39.14	21
42.36	64
42.85	64
53.05	19
61.83	20
78.16	20


[3]
The following is a theoretical XRD peak list of NaDyTm4Se8. It was derived from a DFT-relaxed cell (GGA-PBE, Alexandria), using Cu Kα (weighted mean of Kα1 and Kα2).
No peak broadening, texture or thermal motion is included.

Atomic structure:
a = 8.3962 Å, b = 8.3962 Å, c = 8.3962 Å
α = 59.73°, β = 59.73°, γ = 59.73°
Atoms (fractional coordinates):
Na 0.0000 0.0000 0.0000
Dy 0.6312 0.6312 0.6312
Tm 0.1110 0.6312 0.6312
Tm 0.2515 0.2515 0.2515
Tm 0.6312 0.1110 0.6312
Tm 0.6312 0.6312 0.1110
Se 0.3824 0.3824 0.8528
Se 0.3824 0.8528 0.3824
Se 0.3843 0.3843 0.3843
Se 0.4056 0.8680 0.8680
Se 0.8528 0.3824 0.3824
Se 0.8656 0.8656 0.8656
Se 0.8680 0.4056 0.8680
Se 0.8680 0.8680 0.4056

Largest 12 diffraction maxima, low angle first, 2θ = 10–90°:
2θ/deg	I_rel
12.94	55
24.91	84
24.97	29
30.17	100
39.44	19
39.54	49
43.10	66
43.28	66
53.66	18
60.05	18
62.73	21
79.27	20


[4]
The following is a theoretical XRD peak list of Na3Dy3YSe8. It was derived from a DFT-relaxed cell (GGA-PBE, Alexandria), using Cu Kα (weighted mean of Kα1 and Kα2).
No peak broadening, texture or thermal motion is included.

Atomic structure:
a = 8.5113 Å, b = 8.5113 Å, c = 8.5113 Å
α = 57.91°, β = 57.91°, γ = 57.91°
Atoms (fractional coordinates):
Na 0.0000 0.5000 0.5000
Na 0.5000 0.0000 0.5000
Na 0.5000 0.5000 0.0000
Dy 0.0000 0.0000 0.5000
Dy 0.0000 0.5000 0.0000
Dy 0.5000 0.0000 0.0000
Y 0.5000 0.5000 0.5000
Se 0.2414 0.7431 0.7431
Se 0.2436 0.2436 0.2436
Se 0.2569 0.2569 0.7586
Se 0.2569 0.7586 0.2569
Se 0.7431 0.2414 0.7431
Se 0.7431 0.7431 0.2414
Se 0.7564 0.7564 0.7564
Se 0.7586 0.2569 0.2569

Largest 12 diffraction maxima, low angle first, 2θ = 10–90°:
2θ/deg	I_rel
12.54	55
25.31	21
30.20	100
39.04	15
42.53	37
43.95	36
45.88	13
54.25	19
62.81	12
70.24	15
72.27	19
79.81	12


[5]
The following is a theoretical XRD peak list of NaDyTe4. It was derived from a DFT-relaxed cell (GGA-PBE, Alexandria), using Cu Kα (weighted mean of Kα1 and Kα2).
No peak broadening, texture or thermal motion is included.

Atomic structure:
a = 6.8031 Å, b = 6.8031 Å, c = 8.1887 Å
α = 90.00°, β = 90.00°, γ = 90.00°
Atoms (fractional coordinates):
Na 0.2500 0.2500 0.0000
Na 0.7500 0.7500 0.0000
Dy 0.2500 0.2500 0.5000
Dy 0.7500 0.7500 0.5000
Te 0.1027 0.6027 0.2719
Te 0.1027 0.8973 0.7281
Te 0.3973 0.6027 0.7281
Te 0.3973 0.8973 0.2719
Te 0.6027 0.1027 0.7281
Te 0.6027 0.3973 0.2719
Te 0.8973 0.1027 0.2719
Te 0.8973 0.3973 0.7281

Largest 12 diffraction maxima, low angle first, 2θ = 10–90°:
2θ/deg	I_rel
10.80	43
21.71	19
28.63	57
31.37	100
34.27	28
42.00	34
44.24	12
44.60	32
58.79	20
62.17	18
62.64	17
76.26	12


[6]
The following is a theoretical XRD peak list of Na2DyTiTe4. It was derived from a DFT-relaxed cell (GGA-PBE, Alexandria), using Cu Kα (weighted mean of Kα1 and Kα2).
No peak broadening, texture or thermal motion is included.

Atomic structure:
a = 7.3834 Å, b = 4.2368 Å, c = 7.9791 Å
α = 90.00°, β = 107.84°, γ = 90.00°
Atoms (fractional coordinates):
Na 0.0000 0.0000 0.0000
Na 0.5000 0.5000 0.0000
Dy 0.0000 0.5000 0.5000
Ti 0.5000 0.0000 0.5000
Te 0.2595 0.0000 0.7276
Te 0.2782 0.5000 0.2836
Te 0.7218 0.5000 0.7164
Te 0.7405 0.0000 0.2724

Largest 12 diffraction maxima, low angle first, 2θ = 10–90°:
2θ/deg	I_rel
11.65	31
25.48	9
28.88	100
36.86	12
39.94	12
40.07	25
42.48	23
42.68	12
47.91	6
52.34	12
59.87	7
66.04	9